[1]
Diffraction record for LiH2N. The X-ray powder pattern is calculated, not measured: it uses a PBE-relaxed structure and Cu Kα, 1.54184 Å.
Kinematic intensities with the Lorentz-polarization factor, no thermal factor.

Principal peaks in the range 10° ≤ 2θ ≤ 80°, by angle:
2theta	Rel. int.
31.5	49
31.8	48
32.1	100
34.2	33
55.1	23
55.4	22

Crystal structure
```
LiH2N
1.0
3.757 0.000 0.000
0.000 3.661 0.000
-0.068 0.000 8.598
Li H N
4 8 4
direct
0.247 0.245 0.007
0.247 0.255 0.507
0.753 0.745 0.493
0.753 0.755 0.993
0.119 0.605 0.292
0.119 0.895 0.792
0.391 0.570 0.805
0.391 0.930 0.305
0.609 0.070 0.695
0.609 0.430 0.195
0.881 0.105 0.208
0.881 0.395 0.708
0.250 0.744 0.877
0.250 0.756 0.377
0.750 0.244 0.623
0.750 0.256 0.123
```

---

[2]
Diffraction record for LiH2N. The X-ray powder pattern is calculated, not measured: it uses a PBE-relaxed structure and Cu Kα, 1.54184 Å.
Kinematic intensities with the Lorentz-polarization factor, no thermal factor.

Principal peaks in the range 10° ≤ 2θ ≤ 80°, by angle:
2theta	Rel. int.
24.2	15
32.4	35
34.5	100
44.2	29
49.5	26
59.2	20

Crystal structure
```
LiH2N
1.0
4.933 0.000 0.000
0.000 3.682 0.000
0.000 0.000 5.519
Li H N
4 8 4
direct
0.087 0.250 0.144
0.413 0.750 0.644
0.587 0.250 0.356
0.913 0.750 0.856
0.000 0.000 0.500
0.000 0.500 0.500
0.207 0.250 0.704
0.293 0.750 0.204
0.500 0.000 0.000
0.500 0.500 0.000
0.707 0.250 0.796
0.793 0.750 0.296
0.198 0.250 0.516
0.302 0.750 0.016
0.698 0.250 0.984
0.802 0.750 0.484
```

---

[3]
Diffraction record for Li2HN. The X-ray powder pattern is calculated, not measured: it uses a PBE-relaxed structure and Cu Kα, 1.54184 Å.
Kinematic intensities with the Lorentz-polarization factor, no thermal factor.

Principal peaks in the range 10° ≤ 2θ ≤ 80°, by angle:
2theta	Rel. int.
15.2	20
30.8	100
35.7	10
51.3	69
51.5	14
61.0	9

Crystal structure
```
Li2HN
1.0
-3.550 3.565 5.044
3.550 -3.565 5.044
3.550 3.565 -5.044
Li H N
16 8 8
direct
0.108 0.349 0.226
0.108 0.882 0.759
0.126 0.876 0.250
0.356 0.106 0.250
0.367 0.617 0.750
0.377 0.118 0.726
0.377 0.651 0.259
0.500 0.000 0.000
0.500 0.500 0.500
0.623 0.349 0.741
0.623 0.882 0.274
0.633 0.383 0.250
0.644 0.894 0.750
0.874 0.124 0.750
0.892 0.118 0.241
0.892 0.651 0.774
0.113 0.695 0.418
0.199 0.309 0.609
0.199 0.590 0.891
0.224 0.305 0.918
0.776 0.695 0.082
0.801 0.410 0.109
0.801 0.691 0.391
0.887 0.305 0.582
0.259 0.249 0.490
0.259 0.769 0.010
0.271 0.241 0.031
0.290 0.759 0.531
0.710 0.241 0.469
0.729 0.759 0.969
0.741 0.231 0.990
0.741 0.751 0.510
```

---

[4]
Diffraction record for LiH2N. The X-ray powder pattern is calculated, not measured: it uses a PBE-relaxed structure and Cu Kα, 1.54184 Å.
Kinematic intensities with the Lorentz-polarization factor, no thermal factor.

Principal peaks in the range 10° ≤ 2θ ≤ 80°, by angle:
2theta	Rel. int.
21.6	17
28.3	29
32.8	100
33.1	79
43.9	43
50.0	18

Crystal structure
```
LiH2N
1.0
3.650 0.000 0.000
0.000 5.455 0.000
0.000 0.000 6.236
Li H N
4 8 4
direct
0.013 0.209 0.126
0.487 0.791 0.626
0.513 0.291 0.874
0.987 0.709 0.374
0.020 0.007 0.767
0.065 0.648 0.956
0.435 0.352 0.456
0.480 0.993 0.267
0.520 0.493 0.233
0.565 0.852 0.044
0.935 0.148 0.544
0.980 0.507 0.733
0.019 0.476 0.894
0.481 0.524 0.394
0.519 0.024 0.106
0.981 0.976 0.606
```

---

[5]
Diffraction record for LiH2N. The X-ray powder pattern is calculated, not measured: it uses a PBE-relaxed structure and Cu Kα, 1.54184 Å.
Kinematic intensities with the Lorentz-polarization factor, no thermal factor.

Principal peaks in the range 10° ≤ 2θ ≤ 80°, by angle:
2theta	Rel. int.
27.3	20
30.4	73
30.8	33
31.4	100
43.2	21
49.8	31

Crystal structure
```
LiH2N
1.0
6.525 0.000 0.000
0.000 3.410 0.000
0.000 0.000 5.812
Li H N
4 8 4
direct
0.049 0.148 0.000
0.451 0.648 0.500
0.549 0.352 0.000
0.951 0.852 0.500
0.083 0.435 0.693
0.244 0.188 0.325
0.256 0.688 0.825
0.417 0.935 0.193
0.583 0.065 0.693
0.744 0.312 0.325
0.756 0.812 0.825
0.917 0.565 0.193
0.099 0.670 0.803
0.401 0.170 0.303
0.599 0.830 0.803
0.901 0.330 0.303
```

---

[6]
Diffraction record for Li2HN. The X-ray powder pattern is calculated, not measured: it uses a PBE-relaxed structure and Cu Kα, 1.54184 Å.
Kinematic intensities with the Lorentz-polarization factor, no thermal factor.

Principal peaks in the range 10° ≤ 2θ ≤ 80°, by angle:
2theta	Rel. int.
30.7	100
50.5	52
52.7	22
58.2	9
62.3	12
77.8	6

Crystal structure
```
Li2HN
1.0
4.910 0.000 0.000
0.000 4.910 0.000
0.000 0.000 5.350
Li H N
8 4 4
direct
0.000 0.000 0.000
0.000 0.000 0.500
0.000 0.500 0.037
0.000 0.500 0.462
0.500 0.000 0.537
0.500 0.000 0.962
0.500 0.500 0.493
0.500 0.500 0.993
0.039 0.728 0.748
0.272 0.039 0.248
0.728 0.961 0.248
0.961 0.272 0.748
0.245 0.250 0.249
0.250 0.755 0.749
0.750 0.245 0.749
0.755 0.750 0.249
```